(1)
# HfSnSe4
Simulated powder diffractogram, copper Kα. Input: DFT lattice parameters and positions (GGA-PBE).
Intensities are scaled so that the largest is 100.

Crystal structure
a = 7.2728 Å, b = 7.2728 Å, c = 6.7582 Å
α = 97.52°, β = 97.52°, γ = 30.04°
Atoms (fractional coordinates):
Hf (0.0000, 0.0000, 0.0000)
Sn (0.5000, 0.5000, 0.5000)
Se (0.1140, 0.1140, 0.3596)
Se (0.3856, 0.3856, 0.1250)
Se (0.6144, 0.6144, 0.8750)
Se (0.8860, 0.8860, 0.6404)

Largest 12 diffraction maxima, sorted by position, 2θ = 15–90°:
- 26.63 deg, intensity 15
- 27.48 deg, intensity 34
- 31.18 deg, intensity 54
- 32.33 deg, intensity 100
- 34.52 deg, intensity 17
- 41.08 deg, intensity 21
- 44.01 deg, intensity 40
- 44.39 deg, intensity 20
- 47.00 deg, intensity 35
- 48.29 deg, intensity 16
- 58.60 deg, intensity 18
- 74.13 deg, intensity 16



(2)
# Ba2TbCu2Se4
Simulated powder diffractogram, copper Kα. Input: DFT lattice parameters and positions (GGA-PBE).
Intensities are scaled so that the largest is 100.

Crystal structure
a = 7.9885 Å, b = 7.9885 Å, c = 7.6451 Å
α = 109.62°, β = 109.62°, γ = 30.14°
Atoms (fractional coordinates):
Ba (0.1352, 0.1352, 0.0707)
Ba (0.8648, 0.8648, 0.9293)
Tb (0.0000, 0.0000, 0.5000)
Cu (0.3182, 0.3182, 0.5109)
Cu (0.6818, 0.6818, 0.4891)
Se (0.2003, 0.2003, 0.6867)
Se (0.4791, 0.4791, 0.7473)
Se (0.5209, 0.5209, 0.2527)
Se (0.7997, 0.7997, 0.3133)

Largest 12 diffraction maxima, sorted by position, 2θ = 15–90°:
- 28.30 deg, intensity 79
- 31.34 deg, intensity 45
- 31.91 deg, intensity 100
- 33.35 deg, intensity 44
- 33.60 deg, intensity 64
- 36.31 deg, intensity 30
- 37.30 deg, intensity 25
- 43.57 deg, intensity 43
- 47.81 deg, intensity 33
- 53.13 deg, intensity 25
- 54.66 deg, intensity 28
- 58.64 deg, intensity 21



(3)
# Na3GaAu
Simulated powder diffractogram, copper Kα. Input: DFT lattice parameters and positions (GGA-PBE).
Intensities are scaled so that the largest is 100.

Crystal structure
a = 4.1480 Å, b = 9.6162 Å, c = 6.8672 Å
α = 90.00°, β = 90.11°, γ = 90.00°
Atoms (fractional coordinates):
Na (0.2442, 0.2500, 0.4954)
Na (0.2539, 0.5233, 0.2028)
Na (0.2539, 0.9767, 0.2028)
Na (0.7461, 0.0233, 0.7972)
Na (0.7461, 0.4767, 0.7972)
Na (0.7558, 0.7500, 0.5046)
Ga (0.2449, 0.2500, 0.9524)
Ga (0.7551, 0.7500, 0.0476)
Au (0.2543, 0.7500, 0.8353)
Au (0.7457, 0.2500, 0.1647)

Largest 12 diffraction maxima, sorted by position, 2θ = 15–90°:
- 15.86 deg, intensity 88
- 18.45 deg, intensity 99
- 22.57 deg, intensity 35
- 25.08 deg, intensity 32
- 30.78 deg, intensity 27
- 31.32 deg, intensity 100
- 33.89 deg, intensity 26
- 35.19 deg, intensity 46
- 37.41 deg, intensity 32
- 38.86 deg, intensity 59
- 43.64 deg, intensity 21
- 46.27 deg, intensity 31



(4)
# Cu4H10SO12
Simulated powder diffractogram, copper Kα. Input: DFT lattice parameters and positions (GGA-PBE).
Intensities are scaled so that the largest is 100.

Crystal structure
a = 8.3242 Å, b = 5.9684 Å, c = 11.4253 Å
α = 90.00°, β = 91.82°, γ = 90.00°
Atoms (fractional coordinates):
Cu (0.0000, 0.0019, 0.0000)
Cu (0.0000, 0.9981, 0.5000)
Cu (0.0029, 0.2628, 0.7516)
Cu (0.0029, 0.7372, 0.2516)
Cu (0.9823, 0.4979, 0.4935)
Cu (0.9823, 0.5021, 0.9935)
Cu (0.9958, 0.2535, 0.2559)
Cu (0.9958, 0.7465, 0.7559)
H (0.2208, 0.0052, 0.8465)
H (0.2208, 0.9948, 0.3465)
H (0.2221, 0.2602, 0.5206)
H (0.2221, 0.7398, 0.0206)
H (0.3823, 0.4480, 0.0531)
H (0.3823, 0.5520, 0.5531)
H (0.4429, 0.2133, 0.0954)
H (0.4429, 0.7867, 0.5954)
H (0.4885, 0.4743, 0.2077)
H (0.4885, 0.5257, 0.7077)
H (0.5409, 0.3146, 0.7918)
H (0.5409, 0.6854, 0.2918)
H (0.6284, 0.3737, 0.3375)
H (0.6284, 0.6263, 0.8375)
H (0.7592, 0.2195, 0.9822)
H (0.7592, 0.7805, 0.4822)
H (0.7736, 0.4875, 0.6718)
H (0.7736, 0.5125, 0.1718)
H (0.7883, 0.0022, 0.1462)
H (0.7883, 0.9978, 0.6462)
S (0.5254, 0.1061, 0.4424)
S (0.5254, 0.8939, 0.9424)
O (0.0832, 0.4934, 0.3451)
O (0.0832, 0.5066, 0.8451)
O (0.1017, 0.0075, 0.8437)
O (0.1017, 0.9925, 0.3437)
O (0.1146, 0.2556, 0.5557)
O (0.1146, 0.7444, 0.0557)
O (0.3757, 0.3415, 0.1185)
O (0.3757, 0.6585, 0.6185)
O (0.4139, 0.2799, 0.4805)
O (0.4139, 0.7201, 0.9805)
O (0.4510, 0.0414, 0.8524)
O (0.4510, 0.9586, 0.3524)
O (0.5801, 0.4564, 0.7581)
O (0.5801, 0.5436, 0.2581)
O (0.5961, 0.0261, 0.0413)
O (0.5961, 0.9739, 0.5413)
O (0.6713, 0.2324, 0.3894)
O (0.6713, 0.7676, 0.8894)
O (0.8619, 0.2409, 0.9433)
O (0.8619, 0.7591, 0.4433)
O (0.8897, 0.4981, 0.1572)
O (0.8897, 0.5019, 0.6572)
O (0.9057, 0.0016, 0.1600)
O (0.9057, 0.9984, 0.6600)

Largest 12 diffraction maxima, sorted by position, 2θ = 15–90°:
- 21.36 deg, intensity 100
- 30.13 deg, intensity 13
- 31.33 deg, intensity 16
- 32.28 deg, intensity 13
- 32.84 deg, intensity 23
- 33.89 deg, intensity 20
- 35.47 deg, intensity 13
- 35.78 deg, intensity 46
- 37.64 deg, intensity 23
- 40.13 deg, intensity 14
- 40.69 deg, intensity 28
- 47.87 deg, intensity 24



> Which formula does entry 1 have?

HfSnSe4